Diffraction record for Cs3RbCl4. The PXRD pattern is simulated, not measured: it uses a crystal structure in Alexandria, relaxed with GGA-PBE and Cu Kα.

Cell and atoms:
a = 9.8803 Å, b = 13.9430 Å, c = 4.9403 Å
α = 90.00°, β = 90.00°, γ = 90.00°
Space group Cmmm (No. 65)
Unique sites:
Cs 0.0000 0.0000 0.0000
Cs 0.2500 0.2500 0.5000
Rb 0.0000 0.5000 0.0000
Cl 0.0000 0.2551 0.0000
Cl 0.2410 0.5000 0.5000

Peak list (10 most intense, 2θ from 10° to 90°, by intensity)
d_spacing, 2θ/deg, I_rel
3.491, 25.52, 100.0
2.468, 36.40, 75.5
4.031, 22.05, 51.1
2.105, 42.97, 28.5
2.015, 44.98, 26.8
1.425, 65.50, 25.5
1.562, 59.15, 23.2
1.164, 82.98, 15.5
1.602, 57.54, 12.6
1.560, 59.25, 11.5

***

Diffraction record for SrDyTlCd. The PXRD pattern is simulated, not measured: it uses a crystal structure in Alexandria, relaxed with GGA-PBE and Cu Kα.

Cell and atoms:
a = 3.8745 Å, b = 3.8745 Å, c = 7.9808 Å
α = 90.00°, β = 90.00°, γ = 90.00°
Space group P4mm (No. 99)
Unique sites:
Sr 0.0000 0.0000 0.0000
Dy 0.0000 0.0000 0.4910
Tl 0.5000 0.5000 0.7214
Cd 0.5000 0.5000 0.2767

Peak list (10 most intense, 2θ from 10° to 90°, by intensity)
d_spacing, 2θ/deg, I_rel
2.780, 32.20, 100.0
2.740, 32.69, 51.3
1.589, 58.03, 37.2
7.981, 11.09, 20.7
1.937, 46.90, 18.7
1.613, 57.11, 16.0
1.390, 67.38, 9.8
2.193, 41.16, 9.3
1.225, 77.98, 8.4
1.229, 77.72, 7.9

***

Diffraction record for PrSmO3. The PXRD pattern is simulated, not measured: it uses a crystal structure in Alexandria, relaxed with GGA-PBE and Cu Kα.

Cell and atoms:
a = 5.8734 Å, b = 5.8734 Å, c = 16.9818 Å
α = 90.00°, β = 90.00°, γ = 120.00°
Space group R32 (No. 155, hexagonal axes)
Unique sites:
Pr 0.0000 0.0000 0.1435
Sm 0.0000 0.0000 0.3527
O 0.0094 0.2955 0.2507

Peak list (10 most intense, 2θ from 10° to 90°, by intensity)
d_spacing, 2θ/deg, I_rel
3.259, 27.36, 100.0
2.937, 30.44, 93.0
2.038, 44.46, 46.2
2.182, 41.39, 38.7
1.751, 52.23, 37.8
1.695, 54.09, 26.5
4.363, 20.35, 23.8
1.611, 57.19, 17.2
1.273, 74.56, 14.4
1.339, 70.32, 13.4

***

Diffraction record for Rb8HBr6. The PXRD pattern is simulated, not measured: it uses a crystal structure in Alexandria, relaxed with GGA-PBE and Cu Kα.

Cell and atoms:
a = 12.5919 Å, b = 12.5919 Å, c = 5.2511 Å
α = 90.00°, β = 90.00°, γ = 120.00°
Space group P-3 (No. 147)
Unique sites:
Rb 0.0348 0.7078 0.2634
Rb 0.3333 0.6667 0.7462
H 0.0000 0.0000 0.5000
Br 0.1281 0.4713 0.2402

Peak list (10 most intense, 2θ from 10° to 90°, by intensity)
d_spacing, 2θ/deg, I_rel
3.242, 27.51, 100.0
2.700, 33.18, 73.8
3.782, 23.52, 44.5
3.635, 24.49, 42.3
2.625, 34.15, 32.6
3.024, 29.53, 32.0
2.259, 39.92, 30.7
1.494, 62.14, 29.7
2.128, 42.47, 18.3
1.983, 45.76, 18.2

***

Diffraction record for Dy4SnBiC. The PXRD pattern is simulated, not measured: it uses a crystal structure in Alexandria, relaxed with GGA-PBE and Cu Kα.

Cell and atoms:
a = 6.8366 Å, b = 15.9305 Å, c = 6.8351 Å
α = 90.00°, β = 90.00°, γ = 90.00°
Space group Cmcm (No. 63)
Unique sites:
Dy 0.0000 0.0921 0.2500
Dy 0.0000 0.4036 0.2500
Dy 0.2500 0.2500 0.0000
Sn 0.0000 0.1088 0.7500
Bi 0.0000 0.3948 0.7500
C 0.0000 0.2492 0.2500

Peak list (10 most intense, 2θ from 10° to 90°, by intensity)
d_spacing, 2θ/deg, I_rel
2.594, 34.58, 100.0
3.141, 28.42, 61.3
2.417, 37.20, 56.9
1.787, 51.10, 35.1
1.427, 65.40, 32.4
2.656, 33.75, 29.6
1.709, 53.63, 20.0
1.444, 64.54, 19.9
1.103, 88.69, 17.8
3.418, 26.07, 17.2

***

Diffraction record for HoB4Ir4. The PXRD pattern is simulated, not measured: it uses a crystal structure in Alexandria, relaxed with GGA-PBE and Cu Kα.

Cell and atoms:
a = 7.6324 Å, b = 7.6324 Å, c = 3.9918 Å
α = 90.00°, β = 90.00°, γ = 90.00°
Space group P4_2/n (No. 86, origin choice 2)
Unique sites:
Ho 0.2500 0.2500 0.2500
B 0.0274 0.9073 0.1380
Ir 0.0897 0.6405 0.1365

Peak list (10 most intense, 2θ from 10° to 90°, by intensity)
d_spacing, 2θ/deg, I_rel
2.594, 34.58, 100.0
2.414, 37.25, 63.6
2.236, 40.34, 26.2
3.209, 27.80, 22.7
1.931, 47.06, 22.6
1.426, 65.46, 20.4
1.570, 58.81, 17.8
1.707, 53.71, 15.1
5.397, 16.42, 15.0
1.212, 78.97, 14.8

***

Diffraction record for Pm4Se3Br. The PXRD pattern is simulated, not measured: it uses a crystal structure in Alexandria, relaxed with GGA-PBE and Cu Kα.

Cell and atoms:
a = 4.1633 Å, b = 4.1633 Å, c = 28.5426 Å
α = 90.00°, β = 90.00°, γ = 120.00°
Space group P6_3/mmc (No. 194)
Unique sites:
Pm 0.0000 0.0000 0.1759
Pm 0.3333 0.6667 0.0637
Se 0.0000 0.0000 0.0000
Se 0.3333 0.6667 0.6209
Br 0.3333 0.6667 0.2500

Peak list (10 most intense, 2θ from 10° to 90°, by intensity)
d_spacing, 2θ/deg, I_rel
2.873, 31.13, 100.0
3.048, 29.30, 65.6
2.082, 43.47, 61.2
2.106, 42.94, 28.9
1.686, 54.43, 20.5
1.355, 69.38, 18.7
1.310, 72.10, 17.7
3.496, 25.48, 15.9
1.985, 45.70, 13.8
1.719, 53.29, 12.1

***

Diffraction record for Mg16Al12Cr. The PXRD pattern is simulated, not measured: it uses a crystal structure in Alexandria, relaxed with GGA-PBE and Cu Kα.

Cell and atoms:
a = 14.7631 Å, b = 14.7631 Å, c = 9.1452 Å
α = 90.00°, β = 90.00°, γ = 120.00°
Space group R3m (No. 160, hexagonal axes)
Unique sites:
Mg 0.0000 0.0000 0.0000
Mg 0.0394 0.3602 0.3696
Mg 0.0993 0.1987 0.4993
Mg 0.1014 0.5507 0.5590
Mg 0.2003 0.4007 0.1245
Al 0.0007 0.1819 0.1916
Al 0.1244 0.0622 0.7103
Al 0.2079 0.4158 0.6124
Cr 0.0000 0.0000 0.3096

Peak list (10 most intense, 2θ from 10° to 90°, by intensity)
d_spacing, 2θ/deg, I_rel
2.466, 36.43, 100.0
2.479, 36.23, 63.2
2.229, 40.47, 46.7
2.461, 36.52, 32.2
2.620, 34.23, 19.2
1.427, 65.40, 15.5
7.401, 11.96, 13.4
2.251, 40.06, 12.0
2.058, 44.00, 11.7
1.422, 65.68, 11.6

***

Diffraction record for LiPr2Ho. The PXRD pattern is simulated, not measured: it uses a crystal structure in Alexandria, relaxed with GGA-PBE and Cu Kα.

Cell and atoms:
a = 3.5660 Å, b = 3.5660 Å, c = 11.9681 Å
α = 90.00°, β = 90.00°, γ = 120.00°
Space group P3m1 (No. 156)
Unique sites:
Li 0.0000 0.0000 0.0000
Pr 0.0000 0.0000 0.7250
Pr 0.6667 0.3333 0.2397
Ho 0.3333 0.6667 0.4841

Peak list (10 most intense, 2θ from 10° to 90°, by intensity)
d_spacing, 2θ/deg, I_rel
2.991, 29.87, 100.0
2.744, 32.63, 61.2
2.442, 36.80, 45.6
1.532, 60.44, 32.5
1.496, 62.06, 23.5
1.146, 84.56, 21.0
1.783, 51.24, 19.2
1.892, 48.09, 16.7
1.676, 54.79, 14.4
5.984, 14.80, 10.1

***

Diffraction record for KRh4Pb. The PXRD pattern is simulated, not measured: it uses a crystal structure in Alexandria, relaxed with GGA-PBE and Cu Kα.

Cell and atoms:
a = 7.6293 Å, b = 7.6293 Å, c = 7.6293 Å
α = 90.00°, β = 90.00°, γ = 90.00°
Space group F-43m (No. 216)
Unique sites:
K 0.0000 0.0000 0.0000
Rh 0.1243 0.1243 0.3757
Pb 0.2500 0.2500 0.7500

Peak list (10 most intense, 2θ from 10° to 90°, by intensity)
d_spacing, 2θ/deg, I_rel
2.300, 39.16, 100.0
2.202, 40.98, 37.2
1.468, 63.34, 32.0
2.697, 33.21, 29.2
1.349, 69.73, 24.6
4.405, 20.16, 16.8
3.815, 23.32, 14.4
1.150, 84.18, 13.8
1.163, 83.00, 11.5
1.557, 59.34, 11.0

***

Diffraction record for Tl3Cd4Hg9. The PXRD pattern is simulated, not measured: it uses a crystal structure in Alexandria, relaxed with GGA-PBE and Cu Kα.

Cell and atoms:
a = 6.2483 Å, b = 6.2483 Å, c = 38.3790 Å
α = 90.00°, β = 90.00°, γ = 120.00°
Space group R3 (No. 146, hexagonal axes)
Unique sites:
Tl 0.0000 0.0000 0.0000
Tl 0.0000 0.0000 0.1379
Tl 0.0000 0.0000 0.6744
Cd 0.0000 0.0000 0.3398
Cd 0.0000 0.0000 0.4620
Cd 0.0000 0.0000 0.7932
Cd 0.0000 0.0000 0.9182
Hg 0.0032 0.4832 0.9361
Hg 0.0054 0.6502 0.7360
Hg 0.0107 0.3893 0.1924

Peak list (10 most intense, 2θ from 10° to 90°, by intensity)
d_spacing, 2θ/deg, I_rel
2.520, 35.62, 100.0
2.807, 31.88, 79.7
3.035, 29.43, 76.5
2.557, 35.10, 63.0
2.235, 40.36, 39.3
2.604, 34.44, 32.5
1.804, 50.60, 31.9
1.474, 63.06, 22.6
2.699, 33.19, 19.4
1.424, 65.58, 19.4

***

Diffraction record for PmTm6Tl4. The PXRD pattern is simulated, not measured: it uses a crystal structure in Alexandria, relaxed with GGA-PBE and Cu Kα.

Cell and atoms:
a = 9.9597 Å, b = 9.9597 Å, c = 3.7350 Å
α = 90.00°, β = 90.00°, γ = 120.00°
Space group P-6m2 (No. 187)
Unique sites:
Pm 0.0000 0.0000 0.0000
Tm 0.1913 0.3826 0.5000
Tm 0.5384 0.0769 0.0000
Tl 0.3283 0.1642 0.5000
Tl 0.3333 0.6667 0.0000

Peak list (10 most intense, 2θ from 10° to 90°, by intensity)
d_spacing, 2θ/deg, I_rel
2.823, 31.69, 100.0
2.490, 36.07, 86.8
2.456, 36.59, 70.9
1.494, 62.13, 45.7
2.988, 29.90, 43.4
1.867, 48.76, 32.7
2.875, 31.11, 32.6
1.566, 58.98, 31.8
3.260, 27.36, 20.5
1.681, 54.60, 17.7